For CrWO4, the PBE+U geometry in Alexandria gives the computed powder X-ray diffraction pattern in this record (λ = 1.5418 Å (Cu Kα)).
Intensities are scaled so that the largest is 100.

The 8 most intense peaks (10 to 90 degrees two-theta), in order of rising 2θ:
5.190 Å, 2θ = 17.08°, rel. 39, hkl 1 0 0
3.472 Å, 2θ = 25.66°, rel. 30, hkl 0 1 1
3.295 Å, 2θ = 27.06°, rel. 100, hkl 1 1 -1
2.600 Å, 2θ = 34.49°, rel. 61, hkl 0 0 2
2.595 Å, 2θ = 34.56°, rel. 20, hkl 2 0 0
2.330 Å, 2θ = 38.64°, rel. 22, hkl 0 2 0
1.737 Å, 2θ = 52.71°, rel. 33, hkl 1 1 -3
1.733 Å, 2θ = 52.82°, rel. 33, hkl 2 2 0

Structural model:
```
data_CrWO4
_cell_length_a 5.6056
_cell_length_b 4.6605
_cell_length_c 5.6224
_cell_angle_alpha 90.00
_cell_angle_beta 112.20
_cell_angle_gamma 90.00
_symmetry_space_group_name_H-M 'P 1 21/c 1'
_symmetry_Int_Tables_number 14
_symmetry_space_group_name_Hall '-P 2ybc'
loop_
_atom_site_label
_atom_site_type_symbol
_atom_site_fract_x
_atom_site_fract_y
_atom_site_fract_z
Cr1 Cr 0.0000 0.0000 0.0000
W1 W 0.5000 0.0000 0.5000
O1 O 0.1570 0.1908 0.3495
O2 O 0.3502 0.6984 0.6512
```